(1)
Starting from a GGA-PBE-relaxed structure, the powder diffraction line list of Ta4AlCdC2 was calculated for CuKα.

Principal peaks in the range 2θ = 5–70°, sorted by position:
2theta	d [Å]	intensity
6.19	14.276	5
12.40	7.138	22
33.06	2.710	23
33.67	2.662	10
35.43	2.533	6
37.81	2.379	20
38.22	2.355	100
51.08	1.788	15
59.05	1.564	20
68.55	1.369	15

abc: 3.129 3.129 14.276
angles: 90.00 90.00 120.00
Element x y z (fractional)
Ta: 0.000 0.000 0.156
Ta: 0.000 0.000 0.844
Ta: 0.333 0.667 0.327
Ta: 0.333 0.667 0.673
Al: 0.333 0.667 0.000
Cd: 0.000 0.000 0.500
C: 0.667 0.333 0.243
C: 0.667 0.333 0.757

=====

(2)
Starting from a GGA-PBE-relaxed structure, the powder diffraction line list of K6CdCl8 was calculated for CuKα.

Principal peaks in the range 2θ = 5–70°, sorted by position:
2theta	d [Å]	intensity
12.31	7.189	65
23.70	3.754	17
28.68	3.113	100
37.53	2.396	20
41.00	2.201	63
42.97	2.105	14
50.80	1.797	19
52.48	1.744	12
59.38	1.556	8
67.25	1.392	21

abc: 8.804 8.804 8.804
angles: 60.00 60.00 60.00
Element x y z (fractional)
K: 0.000 0.000 0.500
K: 0.000 0.500 0.000
K: 0.000 0.500 0.500
K: 0.500 0.000 0.000
K: 0.500 0.000 0.500
K: 0.500 0.500 0.000
Cd: 0.000 0.000 0.000
Cl: 0.216 0.216 0.784
Cl: 0.216 0.784 0.216
Cl: 0.216 0.784 0.784
Cl: 0.250 0.250 0.250
Cl: 0.750 0.750 0.750
Cl: 0.784 0.216 0.216
Cl: 0.784 0.216 0.784
Cl: 0.784 0.784 0.216

=====

(3)
Starting from a GGA-PBE-relaxed structure, the powder diffraction line list of NdDy3Y2NiTe2 was calculated for CuKα.

Principal peaks in the range 2θ = 5–70°, sorted by position:
2theta	d [Å]	intensity
31.09	2.876	100
32.41	2.763	61
32.57	2.749	31
33.49	2.676	78
37.02	2.428	20
39.86	2.261	37
40.00	2.254	16
46.12	1.968	23
57.49	1.603	24
59.95	1.543	21

abc: 3.936 8.441 8.441
angles: 120.35 90.00 90.00
Element x y z (fractional)
Nd: 0.000 0.000 0.000
Dy: 0.500 0.173 0.408
Dy: 0.500 0.408 0.173
Dy: 0.500 0.650 0.650
Y: 0.000 0.411 0.812
Y: 0.000 0.812 0.411
Ni: 0.000 0.420 0.420
Te: 0.500 0.080 0.738
Te: 0.500 0.738 0.080

=====

(4)
Starting from a GGA-PBE-relaxed structure, the powder diffraction line list of ScAgPbO3 was calculated for CuKα.

Principal peaks in the range 2θ = 5–70°, sorted by position:
2theta	d [Å]	intensity
12.24	7.234	68
22.84	3.894	86
25.99	3.428	76
27.19	3.280	54
32.42	2.761	100
34.46	2.603	40
35.79	2.509	56
39.11	2.303	37
40.03	2.252	85
57.96	1.591	43

abc: 7.427 7.427 7.787
angles: 90.00 90.00 153.79
Element x y z (fractional)
Sc: 0.000 0.000 0.000
Sc: 0.000 0.000 0.500
Ag: 0.359 0.641 0.750
Ag: 0.641 0.359 0.250
Pb: 0.306 0.694 0.250
Pb: 0.694 0.306 0.750
O: 0.032 0.968 0.250
O: 0.136 0.864 0.561
O: 0.136 0.864 0.939
O: 0.864 0.136 0.061
O: 0.864 0.136 0.439
O: 0.968 0.032 0.750

=====

Repeat the first record exactly.
Starting from a GGA-PBE-relaxed structure, the powder diffraction line list of Ta4AlCdC2 was calculated for CuKα.

Principal peaks in the range 2θ = 5–70°, sorted by position:
2theta	d [Å]	intensity
6.19	14.276	5
12.40	7.138	22
33.06	2.710	23
33.67	2.662	10
35.43	2.533	6
37.81	2.379	20
38.22	2.355	100
51.08	1.788	15
59.05	1.564	20
68.55	1.369	15

abc: 3.129 3.129 14.276
angles: 90.00 90.00 120.00
Element x y z (fractional)
Ta: 0.000 0.000 0.156
Ta: 0.000 0.000 0.844
Ta: 0.333 0.667 0.327
Ta: 0.333 0.667 0.673
Al: 0.333 0.667 0.000
Cd: 0.000 0.000 0.500
C: 0.667 0.333 0.243
C: 0.667 0.333 0.757